1.
Starting from a structure optimized by DFT (GGA-PBE), the XRD peak list of Al3GaAg6 was computed for Cu Kα X-rays.

Largest 8 diffraction maxima, in order of rising 2θ, 2θ from 15° to 90°:
20.93 deg, 4.245 Å, I = 65.6; 26.44 deg, 3.371 Å, I = 97.8; 26.89 deg, 3.315 Å, I = 53.5; 36.63 deg, 2.454 Å, I = 47.6; 36.74 deg, 2.446 Å, I = 73.3; 41.35 deg, 2.183 Å, I = 50.7; 42.60 deg, 2.122 Å, I = 86.5; 46.27 deg, 1.962 Å, I = 100.0

Crystal structure
Lattice parameters (Å, degrees): 7.158 7.158 6.901 117.79 117.79 44.18
Fractional positions:
1 Al 0.000 0.000 0.000
2 Al 0.243 0.243 0.774
3 Al 0.757 0.757 0.226
4 Ga 0.500 0.500 0.500
5 Ag 0.126 0.627 0.630
6 Ag 0.245 0.245 0.148
7 Ag 0.373 0.874 0.370
8 Ag 0.627 0.126 0.630
9 Ag 0.755 0.755 0.852
10 Ag 0.874 0.373 0.370

2.
Starting from a structure optimized by DFT (GGA-PBE), the XRD peak list of Al6GaAg2 was computed for Cu Kα X-rays.

Largest 8 diffraction maxima, in order of rising 2θ, 2θ from 15° to 90°:
20.84 deg, 4.263 Å, I = 95.8; 23.41 deg, 3.800 Å, I = 76.3; 24.40 deg, 3.647 Å, I = 67.7; 37.45 deg, 2.402 Å, I = 100.0; 37.68 deg, 2.387 Å, I = 98.1; 37.86 deg, 2.376 Å, I = 97.1; 39.39 deg, 2.287 Å, I = 86.5; 43.78 deg, 2.068 Å, I = 63.1

Crystal structure
Lattice parameters (Å, degrees): 4.142 6.336 6.423 86.49 73.52 72.80
Fractional positions:
1 Al 0.164 0.333 0.333
2 Al 0.169 0.665 0.998
3 Al 0.175 0.000 0.662
4 Al 0.825 0.000 0.338
5 Al 0.831 0.335 0.002
6 Al 0.836 0.667 0.667
7 Ga 0.500 0.000 0.000
8 Ag 0.491 0.666 0.334
9 Ag 0.509 0.334 0.666

3.
Starting from a structure optimized by DFT (GGA-PBE), the XRD peak list of Al5Ga2Ag12 was computed for Cu Kα X-rays.

Largest 8 diffraction maxima, in order of rising 2θ, 2θ from 15° to 90°:
19.98 deg, 4.444 Å, I = 26.3; 27.35 deg, 3.261 Å, I = 26.0; 32.16 deg, 2.783 Å, I = 30.8; 36.62 deg, 2.454 Å, I = 94.7; 39.71 deg, 2.270 Å, I = 38.1; 40.46 deg, 2.230 Å, I = 100.0; 40.57 deg, 2.223 Å, I = 30.5; 41.62 deg, 2.170 Å, I = 50.7

Crystal structure
Lattice parameters (Å, degrees): 7.813 7.813 6.814 100.34 100.34 56.85
Fractional positions:
1 Al 0.000 0.000 0.000
2 Al 0.212 0.212 0.975
3 Al 0.303 0.303 0.636
4 Al 0.697 0.697 0.364
5 Al 0.788 0.788 0.025
6 Ga 0.180 0.820 0.500
7 Ga 0.820 0.180 0.500
8 Ag 0.102 0.522 0.317
9 Ag 0.137 0.137 0.345
10 Ag 0.189 0.588 0.954
11 Ag 0.412 0.811 0.046
12 Ag 0.478 0.898 0.683
13 Ag 0.496 0.496 0.293
14 Ag 0.504 0.504 0.707
15 Ag 0.522 0.102 0.317
16 Ag 0.588 0.189 0.954
17 Ag 0.811 0.412 0.046
18 Ag 0.863 0.863 0.655
19 Ag 0.898 0.478 0.683

4.
Starting from a structure optimized by DFT (GGA-PBE), the XRD peak list of Al7Ga3Ag was computed for Cu Kα X-rays.

Largest 8 diffraction maxima, in order of rising 2θ, 2θ from 15° to 90°:
24.28 deg, 3.666 Å, I = 100.0; 25.55 deg, 3.486 Å, I = 67.3; 27.44 deg, 3.251 Å, I = 79.0; 38.57 deg, 2.334 Å, I = 46.9; 41.13 deg, 2.195 Å, I = 64.7; 43.61 deg, 2.075 Å, I = 52.2; 44.35 deg, 2.043 Å, I = 31.8; 50.15 deg, 1.819 Å, I = 38.9

Crystal structure
Lattice parameters (Å, degrees): 6.211 6.211 6.959 110.27 110.27 97.47
Fractional positions:
1 Al 0.000 0.000 0.000
2 Al 0.121 0.623 0.269
3 Al 0.370 0.370 0.759
4 Al 0.377 0.879 0.731
5 Al 0.623 0.121 0.269
6 Al 0.630 0.630 0.241
7 Al 0.879 0.377 0.731
8 Ga 0.266 0.734 0.000
9 Ga 0.500 0.500 0.500
10 Ga 0.734 0.266 0.000
11 Ag 0.000 0.000 0.500

5.
Starting from a structure optimized by DFT (GGA-PBE), the XRD peak list of AlGa3Ag4 was computed for Cu Kα X-rays.

Largest 8 diffraction maxima, in order of rising 2θ, 2θ from 15° to 90°:
19.78 deg, 4.488 Å, I = 33.9; 35.10 deg, 2.557 Å, I = 42.9; 36.29 deg, 2.475 Å, I = 100.0; 40.19 deg, 2.244 Å, I = 64.3; 40.29 deg, 2.238 Å, I = 70.4; 40.45 deg, 2.230 Å, I = 62.2; 46.41 deg, 1.956 Å, I = 27.8; 60.99 deg, 1.519 Å, I = 34.5

Crystal structure
Lattice parameters (Å, degrees): 9.454 9.454 5.321 105.83 105.83 17.92
Fractional positions:
1 Al 0.000 0.000 0.000
2 Ga 0.250 0.250 0.257
3 Ga 0.500 0.500 0.500
4 Ga 0.750 0.750 0.743
5 Ag 0.125 0.125 0.783
6 Ag 0.378 0.378 0.727
7 Ag 0.622 0.622 0.273
8 Ag 0.875 0.875 0.217

6.
Starting from a structure optimized by DFT (GGA-PBE), the XRD peak list of Al5Ga2Ag12 was computed for Cu Kα X-rays.

Largest 8 diffraction maxima, in order of rising 2θ, 2θ from 15° to 90°:
28.84 deg, 3.096 Å, I = 38.0; 35.29 deg, 2.543 Å, I = 37.1; 37.99 deg, 2.368 Å, I = 35.1; 38.44 deg, 2.342 Å, I = 100.0; 40.43 deg, 2.231 Å, I = 40.6; 41.12 deg, 2.195 Å, I = 45.6; 43.33 deg, 2.088 Å, I = 40.1; 48.10 deg, 1.892 Å, I = 33.8

Crystal structure
Lattice parameters (Å, degrees): 7.784 7.784 9.107 100.71 100.71 42.64
Fractional positions:
1 Al 0.000 0.000 0.000
2 Al 0.298 0.298 0.120
3 Al 0.373 0.373 0.623
4 Al 0.627 0.627 0.377
5 Al 0.702 0.702 0.880
6 Ga 0.237 0.763 0.500
7 Ga 0.763 0.237 0.500
8 Ag 0.051 0.555 0.384
9 Ag 0.109 0.598 0.871
10 Ag 0.148 0.148 0.858
11 Ag 0.402 0.891 0.129
12 Ag 0.445 0.949 0.616
13 Ag 0.476 0.476 0.156
14 Ag 0.524 0.524 0.844
15 Ag 0.555 0.051 0.384
16 Ag 0.598 0.109 0.871
17 Ag 0.852 0.852 0.142
18 Ag 0.891 0.402 0.129
19 Ag 0.949 0.445 0.616